Starting from a structure optimized by DFT (GGA+U), the X-ray diffraction stick pattern of V3O5F was calculated for a wavelength of 1.5418 Å.

Crystal structure
Unit cell a=4.5736 b=4.5755 c=10.2923 alpha=90.00 beta=116.10 gamma=90.00
Fractional positions:
V 0.0000 0.2158 0.0000
V 0.0000 0.7842 0.5000
V 0.2910 0.2527 0.3257
V 0.2910 0.7473 0.8257
V 0.6450 0.2465 0.6800
V 0.6450 0.7535 0.1800
O 0.2729 0.0599 0.5008
O 0.2729 0.9401 0.0008
O 0.3307 0.4503 0.1595
O 0.3307 0.5497 0.6595
O 0.6084 0.0569 0.8359
O 0.6084 0.9431 0.3359
O 0.9190 0.0396 0.1587
O 0.9190 0.9604 0.6587
O 0.9940 0.4423 0.8367
O 0.9940 0.5577 0.3367
F 0.6731 0.4598 0.5018
F 0.6731 0.5402 0.0018

The 8 most intense peaks (5° ≤ 2θ ≤ 70°), sorted by position:
two_theta	d/Å	intensity
27.58	3.235	100
35.09	2.557	41
35.20	2.549	13
40.36	2.235	12
40.51	2.227	11
53.70	1.707	30
53.88	1.702	29
56.94	1.617	18